[1]
The following is a theoretical X-ray powder pattern of Li9Mn7O16. It was derived from a cell relaxed with GGA+U, using Cu Ka.
Lines closer than 0.1° are merged.

Most intense lines, 15 to 90 degrees two-theta, in order of rising 2θ:
- 18.25 deg, I 100.0
- 33.89 deg, I 18.5
- 36.17 deg, I 12.2
- 36.42 deg, I 11.5
- 40.59 deg, I 35.5
- 44.32 deg, I 54.5

Cell and atoms:
Unit cell a=3.010 b=9.964 c=10.402 alpha=73.68 beta=83.37 gamma=86.01
Atoms (fractional coordinates):
Li (0.000, 0.000, 0.000)
Li (0.045, 0.301, 0.881)
Li (0.193, 0.940, 0.625)
Li (0.305, 0.556, 0.375)
Li (0.457, 0.186, 0.111)
Li (0.543, 0.814, 0.889)
Li (0.695, 0.444, 0.625)
Li (0.807, 0.060, 0.375)
Li (0.955, 0.699, 0.119)
Mn (0.127, 0.627, 0.750)
Mn (0.234, 0.246, 0.502)
Mn (0.386, 0.879, 0.240)
Mn (0.500, 0.500, 0.000)
Mn (0.614, 0.121, 0.760)
Mn (0.766, 0.754, 0.498)
Mn (0.873, 0.373, 0.250)
O (0.070, 0.654, 0.931)
O (0.119, 0.260, 0.690)
O (0.126, 0.991, 0.804)
O (0.190, 0.599, 0.566)
O (0.304, 0.222, 0.320)
O (0.324, 0.900, 0.430)
O (0.443, 0.524, 0.183)
O (0.454, 0.843, 0.077)
O (0.546, 0.157, 0.923)
O (0.557, 0.476, 0.817)
O (0.676, 0.100, 0.570)
O (0.696, 0.778, 0.680)
O (0.810, 0.401, 0.434)
O (0.874, 0.009, 0.196)
O (0.881, 0.740, 0.310)
O (0.930, 0.346, 0.069)

[2]
The following is a theoretical X-ray powder pattern of V4O5F7. It was derived from a cell relaxed with GGA+U, using Cu Ka.
Lines closer than 0.1° are merged.

Most intense lines, 15 to 90 degrees two-theta, in order of rising 2θ:
- 23.50 deg, I 97.5
- 23.77 deg, I 98.7
- 23.95 deg, I 100.0
- 48.07 deg, I 22.6
- 48.66 deg, I 21.3
- 53.72 deg, I 21.2

Cell and atoms:
Unit cell a=5.252 b=5.401 c=7.438 alpha=92.23 beta=90.04 gamma=90.65
Atoms (fractional coordinates):
V (0.000, 0.000, 0.000)
V (0.001, 0.966, 0.497)
V (0.481, 0.473, 0.936)
V (0.501, 0.468, 0.435)
O (0.065, 0.962, 0.715)
O (0.197, 0.251, 0.006)
O (0.419, 0.467, 0.716)
O (0.564, 0.471, 0.215)
O (0.918, 0.973, 0.215)
F (0.182, 0.660, 0.422)
F (0.281, 0.769, 0.008)
F (0.298, 0.160, 0.422)
F (0.679, 0.777, 0.507)
F (0.703, 0.172, 0.923)
F (0.789, 0.684, 0.929)
F (0.796, 0.274, 0.508)

[3]
The following is a theoretical X-ray powder pattern of MgAlTeW2O8. It was derived from a cell relaxed with GGA+U, using Cu Ka.
Lines closer than 0.1° are merged.

Most intense lines, 15 to 90 degrees two-theta, in order of rising 2θ:
- 18.49 deg, I 54.3
- 19.03 deg, I 62.1
- 23.26 deg, I 100.0
- 23.90 deg, I 60.8
- 27.42 deg, I 74.4
- 29.74 deg, I 65.2

Cell and atoms:
Unit cell a=4.892 b=5.145 c=8.276 alpha=102.98 beta=93.51 gamma=105.58
Atoms (fractional coordinates):
Mg (0.000, 0.000, 0.000)
Al (0.753, 0.676, 0.592)
Te (0.276, 0.612, 0.087)
W (0.506, 0.148, 0.715)
W (0.997, 0.196, 0.457)
O (0.058, 0.025, 0.252)
O (0.119, 0.942, 0.601)
O (0.349, 0.263, 0.919)
O (0.379, 0.413, 0.567)
O (0.640, 0.934, 0.487)
O (0.702, 0.910, 0.799)
O (0.849, 0.456, 0.399)
O (0.863, 0.421, 0.698)

[4]
The following is a theoretical X-ray powder pattern of Sr2NiTeO6. It was derived from a cell relaxed with GGA+U, using Cu Ka.
Lines closer than 0.1° are merged.

Most intense lines, 15 to 90 degrees two-theta, in order of rising 2θ:
- 31.48 deg, I 100.0
- 31.88 deg, I 53.3
- 45.71 deg, I 31.5
- 55.78 deg, I 21.5
- 56.55 deg, I 42.0
- 65.70 deg, I 19.7

Cell and atoms:
Unit cell a=5.686 b=5.686 c=5.686 alpha=120.84 beta=120.84 gamma=88.55
Atoms (fractional coordinates):
Sr (0.250, 0.750, 0.500)
Sr (0.750, 0.250, 0.500)
Ni (0.000, 0.000, 0.000)
Te (0.500, 0.500, 0.000)
O (0.213, 0.696, 0.909)
O (0.260, 0.260, 0.000)
O (0.304, 0.213, 0.517)
O (0.696, 0.787, 0.483)
O (0.740, 0.740, 0.000)
O (0.787, 0.304, 0.091)

[5]
The following is a theoretical X-ray powder pattern of Y2Mo2O7. It was derived from a cell relaxed with GGA+U, using Cu Ka.
Lines closer than 0.1° are merged.

Most intense lines, 15 to 90 degrees two-theta, in order of rising 2θ:
- 29.69 deg, I 100.0
- 34.42 deg, I 26.3
- 49.46 deg, I 51.1
- 58.76 deg, I 40.8
- 80.30 deg, I 16.4
- 82.83 deg, I 12.0

Cell and atoms:
Unit cell a=7.371 b=7.371 c=7.371 alpha=60.00 beta=60.00 gamma=60.00
Atoms (fractional coordinates):
Y (0.000, 0.000, 0.000)
Y (0.000, 0.000, 0.500)
Y (0.000, 0.500, 0.000)
Y (0.500, 0.000, 0.000)
Mo (0.000, 0.500, 0.500)
Mo (0.500, 0.000, 0.500)
Mo (0.500, 0.500, 0.000)
Mo (0.500, 0.500, 0.500)
O (0.125, 0.125, 0.125)
O (0.162, 0.162, 0.588)
O (0.162, 0.588, 0.162)
O (0.162, 0.588, 0.588)
O (0.412, 0.412, 0.838)
O (0.412, 0.838, 0.412)
O (0.412, 0.838, 0.838)
O (0.588, 0.162, 0.162)
O (0.588, 0.162, 0.588)
O (0.588, 0.588, 0.162)
O (0.838, 0.412, 0.412)
O (0.838, 0.412, 0.838)
O (0.838, 0.838, 0.412)
O (0.875, 0.875, 0.875)

[6]
The following is a theoretical X-ray powder pattern of Ti4Fe2O. It was derived from a cell relaxed with GGA+U, using Cu Ka.
Lines closer than 0.1° are merged.

Most intense lines, 15 to 90 degrees two-theta, in order of rising 2θ:
- 37.97 deg, I 31.5
- 40.37 deg, I 100.0
- 44.12 deg, I 26.5
- 46.96 deg, I 11.1
- 68.59 deg, I 28.3
- 82.70 deg, I 17.6

Cell and atoms:
Unit cell a=8.210 b=8.210 c=8.210 alpha=60.00 beta=60.00 gamma=60.00
Atoms (fractional coordinates):
Ti (0.069, 0.069, 0.431)
Ti (0.069, 0.431, 0.069)
Ti (0.069, 0.431, 0.431)
Ti (0.180, 0.180, 0.820)
Ti (0.180, 0.820, 0.180)
Ti (0.180, 0.820, 0.820)
Ti (0.415, 0.415, 0.415)
Ti (0.415, 0.415, 0.754)
Ti (0.415, 0.754, 0.415)
Ti (0.431, 0.069, 0.069)
Ti (0.431, 0.069, 0.431)
Ti (0.431, 0.431, 0.069)
Ti (0.754, 0.415, 0.415)
Ti (0.820, 0.180, 0.180)
Ti (0.820, 0.180, 0.820)
Ti (0.820, 0.820, 0.180)
Fe (0.121, 0.626, 0.626)
Fe (0.498, 0.834, 0.834)
Fe (0.626, 0.121, 0.626)
Fe (0.626, 0.626, 0.121)
Fe (0.626, 0.626, 0.626)
Fe (0.834, 0.498, 0.834)
Fe (0.834, 0.834, 0.498)
Fe (0.834, 0.834, 0.834)
O (0.125, 0.125, 0.125)
O (0.125, 0.125, 0.626)
O (0.125, 0.626, 0.125)
O (0.626, 0.125, 0.125)

[7]
The following is a theoretical X-ray powder pattern of KCoO2. It was derived from a cell relaxed with GGA+U, using Cu Ka.
Lines closer than 0.1° are merged.

Most intense lines, 15 to 90 degrees two-theta, in order of rising 2θ:
- 17.06 deg, I 35.7
- 27.91 deg, I 31.0
- 28.81 deg, I 100.0
- 36.19 deg, I 21.6
- 44.04 deg, I 21.5
- 44.79 deg, I 26.9

Cell and atoms:
Unit cell a=12.655 b=3.242 c=7.782 alpha=90.00 beta=124.75 gamma=90.00
Atoms (fractional coordinates):
K (0.178, 0.000, 0.201)
K (0.322, 0.500, 0.799)
K (0.678, 0.500, 0.201)
K (0.822, 0.000, 0.799)
Co (0.032, 0.000, 0.688)
Co (0.468, 0.500, 0.312)
Co (0.532, 0.500, 0.688)
Co (0.968, 0.000, 0.312)
O (0.054, 0.500, 0.830)
O (0.128, 0.000, 0.572)
O (0.372, 0.500, 0.428)
O (0.446, 0.000, 0.170)
O (0.554, 0.000, 0.830)
O (0.628, 0.500, 0.572)
O (0.872, 0.000, 0.428)
O (0.946, 0.500, 0.170)